Entry 1:
Calculated powder X-ray diffraction pattern of MgOsPb2O8 for Cu Kα X-rays, from a GGA-PBE-relaxed structure.
Neutral-atom scattering factors, no anomalous dispersion.

Atomic structure:
Unit cell a=6.8670 b=6.9833 c=6.6608 alpha=90.00 beta=90.00 gamma=90.00
Space group Cmmm (No. 65)
Asymmetric unit:
Mg  0.0000  0.0000  0.0000 x2
Os  0.0000  0.0000  0.5000 x2
Pb  0.0000  0.5000  0.2436 x4
O  0.0000  0.1789  0.2795 x8
O  0.2076  0.5000  0.0000 x4
O  0.2222  0.5000  0.5000 x4

Largest 12 diffraction maxima, in order of rising 2θ, 10 to 90 degrees two-theta:
6.661 Å, I = 15; 4.896 Å, I = 19; 3.945 Å, I = 26; 3.492 Å, I = 58; 3.433 Å, I = 52; 2.754 Å, I = 100; 2.448 Å, I = 30; 1.838 Å, I = 41; 1.821 Å, I = 36; 1.503 Å, I = 11; 1.466 Å, I = 22; 1.377 Å, I = 11

=====

Entry 2:
Calculated powder X-ray diffraction pattern of Pm3TmSe6 for Cu Kα X-rays, from a GGA-PBE-relaxed structure.
Neutral-atom scattering factors, no anomalous dispersion.

Atomic structure:
Unit cell a=6.9633 b=7.6799 c=12.5376 alpha=90.00 beta=122.62 gamma=90.00
Space group P2_1/c (No. 14)
Asymmetric unit:
Pm  0.0000  0.0000  0.0000 x2
Pm  0.2986  0.1040  0.7535 x4
Tm  0.5000  0.0000  0.5000 x2
Se  0.0986  0.0582  0.2565 x4
Se  0.2576  0.6790  0.0809 x4
Se  0.4126  0.1859  0.0786 x4

Largest 12 diffraction maxima, in order of rising 2θ, 10 to 90 degrees two-theta:
3.717 Å, I = 98; 3.663 Å, I = 100; 3.168 Å, I = 35; 2.927 Å, I = 35; 2.888 Å, I = 35; 2.640 Å, I = 46; 2.595 Å, I = 38; 2.579 Å, I = 43; 2.403 Å, I = 65; 2.176 Å, I = 47; 2.061 Å, I = 51; 2.034 Å, I = 54

=====

Entry 3:
Calculated powder X-ray diffraction pattern of Pr6Sm4Er for Cu Kα X-rays, from a GGA-PBE-relaxed structure.
Neutral-atom scattering factors, no anomalous dispersion.

Atomic structure:
Unit cell a=6.7076 b=6.7076 c=17.5034 alpha=90.00 beta=90.00 gamma=90.00
Space group I-42m (No. 121)
Asymmetric unit:
Pr  0.0000  0.5000  0.0000 x4
Pr  0.1783  0.1783  0.3690 x8
Sm  0.1877  0.1877  0.1762 x8
Er  0.0000  0.0000  0.0000 x2

Largest 12 diffraction maxima, in order of rising 2θ, 10 to 90 degrees two-theta:
3.216 Å, I = 33; 3.132 Å, I = 69; 3.103 Å, I = 28; 2.957 Å, I = 100; 2.917 Å, I = 34; 2.663 Å, I = 82; 2.485 Å, I = 27; 2.371 Å, I = 28; 2.278 Å, I = 38; 1.840 Å, I = 23; 1.642 Å, I = 35; 1.620 Å, I = 29

=====

Entry 4:
Calculated powder X-ray diffraction pattern of Ac4Zn2Au5 for Cu Kα X-rays, from a GGA-PBE-relaxed structure.
Neutral-atom scattering factors, no anomalous dispersion.

Atomic structure:
Unit cell a=8.0986 b=4.1040 c=9.1031 alpha=90.00 beta=93.09 gamma=90.00
Space group P2/m (No. 10)
Asymmetric unit:
Ac  0.2152  0.0000  0.3561 x2
Ac  0.2682  0.0000  0.8725 x2
Zn  0.4341  0.5000  0.6180 x2
Au  0.0000  0.5000  0.0000 x1
Au  0.1092  0.5000  0.6294 x2
Au  0.3908  0.5000  0.1300 x2

Largest 12 diffraction maxima, in order of rising 2θ, 10 to 90 degrees two-theta:
2.883 Å, I = 100; 2.817 Å, I = 31; 2.716 Å, I = 15; 2.375 Å, I = 23; 2.272 Å, I = 14; 2.265 Å, I = 10; 2.052 Å, I = 18; 1.814 Å, I = 10; 1.553 Å, I = 12; 1.523 Å, I = 8; 1.452 Å, I = 10; 1.296 Å, I = 9

=====

Entry 5:
Calculated powder X-ray diffraction pattern of Rb2HfCCl6 for Cu Kα X-rays, from a GGA-PBE-relaxed structure.
Neutral-atom scattering factors, no anomalous dispersion.

Atomic structure:
Unit cell a=7.3917 b=7.3917 c=11.3456 alpha=90.00 beta=90.00 gamma=90.00
Space group I4/mmm (No. 139)
Asymmetric unit:
Rb  0.0000  0.5000  0.2500 x4
Hf  0.0000  0.0000  0.0000 x2
C  0.0000  0.0000  0.5000 x2
Cl  0.0000  0.0000  0.2173 x4
Cl  0.2354  0.2354  0.0000 x8

Largest 12 diffraction maxima, in order of rising 2θ, 10 to 90 degrees two-theta:
6.193 Å, I = 100; 3.844 Å, I = 77; 3.696 Å, I = 34; 3.174 Å, I = 30; 3.097 Å, I = 21; 2.836 Å, I = 32; 2.613 Å, I = 53; 2.250 Å, I = 16; 2.161 Å, I = 32; 1.922 Å, I = 38; 1.848 Å, I = 18; 1.548 Å, I = 18

=====

Entry 6:
Calculated powder X-ray diffraction pattern of ThScZn10 for Cu Kα X-rays, from a GGA-PBE-relaxed structure.
Neutral-atom scattering factors, no anomalous dispersion.

Atomic structure:
Unit cell a=4.2279 b=5.2977 c=9.1536 alpha=90.00 beta=90.00 gamma=90.00
Space group Pmmm (No. 47)
Asymmetric unit:
Th  0.0000  0.0000  0.0000 x1
Sc  0.0000  0.5000  0.5000 x1
Zn  0.0000  0.0000  0.3452 x2
Zn  0.0000  0.5000  0.1825 x2
Zn  0.5000  0.0000  0.5000 x1
Zn  0.5000  0.2487  0.2523 x4
Zn  0.5000  0.5000  0.0000 x1

Largest 12 diffraction maxima, in order of rising 2θ, 10 to 90 degrees two-theta:
3.107 Å, I = 37; 2.679 Å, I = 11; 2.646 Å, I = 28; 2.291 Å, I = 35; 2.243 Å, I = 100; 2.114 Å, I = 28; 2.015 Å, I = 13; 1.652 Å, I = 13; 1.554 Å, I = 20; 1.437 Å, I = 15; 1.244 Å, I = 14; 1.121 Å, I = 13